For Rb2BiAsI6, the GGA-PBE geometry in Alexandria gives the computed X-ray diffraction stick pattern in this record (Cu Kα (λ = 1.5418 Å)).
Kinematic intensities with the Lorentz-polarization factor, no thermal factor.

Peak list (12 most intense, 10° ≤ 2θ ≤ 80°, in order of rising 2θ)
| d (Å) | 2theta | I/Imax |
| --- | --- | --- |
| 6.158 | 14.4 | 24 |
| 6.066 | 14.6 | 47 |
| 3.520 | 25.3 | 84 |
| 3.079 | 29.0 | 52 |
| 3.033 | 29.4 | 100 |
| 2.161 | 41.8 | 76 |
| 2.145 | 42.1 | 37 |
| 1.831 | 49.8 | 24 |
| 1.760 | 52.0 | 40 |
| 1.373 | 68.3 | 17 |
| 1.360 | 69.0 | 17 |
| 1.241 | 76.8 | 25 |

Cell lengths 8.644, 8.644, 8.644 Å; angles 120.50, 120.50, 89.14 degrees
Positions (direct):
Rb 0.250 0.750 0.500
Rb 0.750 0.250 0.500
Bi 0.000 0.000 0.000
As 0.500 0.500 0.000
I 0.256 0.256 0.000
I 0.258 0.258 0.516
I 0.258 0.742 0.000
I 0.742 0.258 0.000
I 0.742 0.742 0.484
I 0.744 0.744 0.000

=====

For KH9O5, the GGA-PBE geometry in Alexandria gives the computed X-ray diffraction stick pattern in this record (Cu Kα (λ = 1.5418 Å)).
Kinematic intensities with the Lorentz-polarization factor, no thermal factor.

Peak list (12 most intense, 10° ≤ 2θ ≤ 80°, in order of rising 2θ)
| d (Å) | 2theta | I/Imax |
| --- | --- | --- |
| 7.127 | 12.4 | 26 |
| 4.366 | 20.3 | 42 |
| 3.235 | 27.6 | 90 |
| 3.053 | 29.3 | 26 |
| 3.007 | 29.7 | 42 |
| 2.988 | 29.9 | 54 |
| 2.889 | 30.9 | 100 |
| 2.645 | 33.9 | 97 |
| 2.578 | 34.8 | 45 |
| 2.350 | 38.3 | 27 |
| 2.163 | 41.8 | 36 |
| 2.037 | 44.5 | 46 |

Cell lengths 7.203, 11.067, 7.174 Å; angles 90.00, 98.35, 90.00 degrees
Positions (direct):
K 0.089 0.158 0.147
K 0.089 0.342 0.647
K 0.911 0.658 0.353
K 0.911 0.842 0.853
H 0.035 0.604 0.842
H 0.035 0.896 0.342
H 0.165 0.051 0.737
H 0.165 0.449 0.237
H 0.245 0.605 0.109
H 0.245 0.895 0.609
H 0.246 0.741 0.043
H 0.246 0.759 0.543
H 0.374 0.111 0.569
H 0.374 0.389 0.069
H 0.400 0.592 0.404
H 0.400 0.908 0.904
H 0.440 0.236 0.481
H 0.440 0.264 0.981
H 0.466 0.590 0.627
H 0.466 0.910 0.127
H 0.499 0.050 0.338
H 0.499 0.450 0.838
H 0.501 0.550 0.162
H 0.501 0.950 0.662
H 0.534 0.090 0.873
H 0.534 0.410 0.373
H 0.560 0.736 0.019
H 0.560 0.764 0.519
H 0.600 0.092 0.096
H 0.600 0.408 0.596
H 0.626 0.611 0.931
H 0.626 0.889 0.431
H 0.754 0.241 0.457
H 0.754 0.259 0.957
H 0.755 0.105 0.391
H 0.755 0.395 0.891
H 0.835 0.551 0.763
H 0.835 0.949 0.263
H 0.965 0.104 0.658
H 0.965 0.396 0.158
O 0.044 0.074 0.774
O 0.044 0.426 0.274
O 0.160 0.671 0.050
O 0.160 0.829 0.550
O 0.343 0.172 0.464
O 0.343 0.328 0.964
O 0.403 0.643 0.522
O 0.403 0.857 0.022
O 0.408 0.504 0.221
O 0.408 0.996 0.721
O 0.592 0.004 0.279
O 0.592 0.496 0.779
O 0.597 0.143 0.978
O 0.597 0.357 0.478
O 0.657 0.672 0.036
O 0.657 0.828 0.536
O 0.840 0.171 0.450
O 0.840 0.329 0.950
O 0.956 0.574 0.726
O 0.956 0.926 0.226

=====

For Dy2TcO6, the GGA-PBE geometry in Alexandria gives the computed X-ray diffraction stick pattern in this record (Cu Kα (λ = 1.5418 Å)).
Kinematic intensities with the Lorentz-polarization factor, no thermal factor.

Peak list (12 most intense, 10° ≤ 2θ ≤ 80°, in order of rising 2θ)
| d (Å) | 2theta | I/Imax |
| --- | --- | --- |
| 3.530 | 25.2 | 100 |
| 2.770 | 32.3 | 87 |
| 2.496 | 36.0 | 25 |
| 1.854 | 49.1 | 69 |
| 1.765 | 51.8 | 17 |
| 1.665 | 55.2 | 8 |
| 1.579 | 58.5 | 17 |
| 1.506 | 61.6 | 17 |
| 1.488 | 62.4 | 21 |
| 1.385 | 67.6 | 9 |
| 1.278 | 74.2 | 15 |
| 1.211 | 79.1 | 9 |

Cell lengths 4.992, 4.992, 9.989 Å; angles 90.00, 90.00, 90.00 degrees
Positions (direct):
Dy 0.000 0.000 0.172
Dy 0.000 0.000 0.828
Dy 0.500 0.500 0.328
Dy 0.500 0.500 0.672
Tc 0.000 0.000 0.500
Tc 0.500 0.500 0.000
O 0.187 0.187 0.353
O 0.187 0.187 0.647
O 0.232 0.232 0.000
O 0.268 0.732 0.500
O 0.313 0.687 0.147
O 0.313 0.687 0.853
O 0.687 0.313 0.147
O 0.687 0.313 0.853
O 0.732 0.268 0.500
O 0.768 0.768 0.000
O 0.813 0.813 0.353
O 0.813 0.813 0.647

=====

For V6Co3C, the GGA-PBE geometry in Alexandria gives the computed X-ray diffraction stick pattern in this record (Cu Kα (λ = 1.5418 Å)).
Kinematic intensities with the Lorentz-polarization factor, no thermal factor.

Peak list (12 most intense, 10° ≤ 2θ ≤ 80°, in order of rising 2θ)
| d (Å) | 2theta | I/Imax |
| --- | --- | --- |
| 2.496 | 36.0 | 23 |
| 2.267 | 39.8 | 33 |
| 2.172 | 41.6 | 14 |
| 2.160 | 41.8 | 22 |
| 2.146 | 42.1 | 100 |
| 2.093 | 43.2 | 24 |
| 2.053 | 44.1 | 28 |
| 1.974 | 46.0 | 22 |
| 1.966 | 46.2 | 20 |
| 1.952 | 46.5 | 15 |
| 1.865 | 48.8 | 31 |
| 1.758 | 52.0 | 23 |

Cell lengths 4.998, 4.998, 6.805 Å; angles 118.59, 118.59, 59.31 degrees
Positions (direct):
V 0.150 0.653 0.728
V 0.244 0.244 0.949
V 0.347 0.850 0.272
V 0.653 0.150 0.728
V 0.756 0.756 0.051
V 0.850 0.347 0.272
Co 0.000 0.000 0.500
Co 0.357 0.357 0.342
Co 0.643 0.643 0.658
C 0.500 0.500 0.000

=====

For Al12Fe7, the GGA-PBE geometry in Alexandria gives the computed X-ray diffraction stick pattern in this record (Cu Kα (λ = 1.5418 Å)).
Kinematic intensities with the Lorentz-polarization factor, no thermal factor.

Peak list (12 most intense, 10° ≤ 2θ ≤ 80°, in order of rising 2θ)
| d (Å) | 2theta | I/Imax |
| --- | --- | --- |
| 4.599 | 19.3 | 31 |
| 4.227 | 21.0 | 21 |
| 3.540 | 25.2 | 29 |
| 3.278 | 27.2 | 18 |
| 2.089 | 43.3 | 59 |
| 2.079 | 43.5 | 38 |
| 2.072 | 43.7 | 100 |
| 2.048 | 44.2 | 41 |
| 2.035 | 44.5 | 46 |
| 2.028 | 44.7 | 33 |
| 2.015 | 45.0 | 61 |
| 1.998 | 45.4 | 44 |

Cell lengths 4.800, 6.353, 8.775 Å; angles 87.50, 74.50, 83.48 degrees
Positions (direct):
Al 0.005 0.295 0.177
Al 0.039 0.129 0.708
Al 0.314 0.663 0.032
Al 0.400 0.814 0.486
Al 0.410 0.463 0.301
Al 0.489 0.012 0.169
Al 0.511 0.988 0.831
Al 0.590 0.537 0.699
Al 0.600 0.186 0.514
Al 0.686 0.337 0.968
Al 0.961 0.871 0.292
Al 0.995 0.705 0.823
Fe 0.000 0.000 0.000
Fe 0.142 0.154 0.417
Fe 0.167 0.479 0.585
Fe 0.221 0.347 0.887
Fe 0.779 0.653 0.113
Fe 0.833 0.521 0.415
Fe 0.858 0.846 0.583

=====

For Na5Cd2Au, the GGA-PBE geometry in Alexandria gives the computed X-ray diffraction stick pattern in this record (Cu Kα (λ = 1.5418 Å)).
Kinematic intensities with the Lorentz-polarization factor, no thermal factor.

Peak list (12 most intense, 10° ≤ 2θ ≤ 80°, in order of rising 2θ)
| d (Å) | 2theta | I/Imax |
| --- | --- | --- |
| 4.526 | 19.6 | 31 |
| 4.415 | 20.1 | 100 |
| 3.342 | 26.7 | 10 |
| 2.689 | 33.3 | 20 |
| 2.613 | 34.3 | 57 |
| 2.421 | 37.1 | 44 |
| 2.249 | 40.1 | 18 |
| 2.059 | 44.0 | 17 |
| 1.809 | 50.4 | 15 |
| 1.776 | 51.5 | 17 |
| 1.705 | 53.8 | 15 |
| 1.469 | 63.3 | 18 |

Cell lengths 5.226, 5.226, 20.054 Å; angles 90.00, 90.00, 120.00 degrees
Positions (direct):
Na 0.000 0.000 0.165
Na 0.000 0.000 0.335
Na 0.000 0.000 0.665
Na 0.000 0.000 0.835
Na 0.333 0.667 0.048
Na 0.333 0.667 0.250
Na 0.333 0.667 0.452
Na 0.667 0.333 0.548
Na 0.667 0.333 0.750
Na 0.667 0.333 0.952
Cd 0.333 0.667 0.612
Cd 0.333 0.667 0.888
Cd 0.667 0.333 0.112
Cd 0.667 0.333 0.388
Au 0.333 0.667 0.750
Au 0.667 0.333 0.250